Computed X-ray powder pattern of Cs2Sn2I7 for Cu Ka, from DFT lattice parameters and positions (GGA-PBE).
Neutral-atom scattering factors, no anomalous dispersion.

Cell and atoms:
Unit cell a=13.554 b=14.165 c=7.186 alpha=90.00 beta=100.35 gamma=90.00
Space group Cm (No. 8)
Asymmetric unit:
Cs 0.000 0.234 0.000 [4 per cell]
Sn 0.226 0.500 0.455 [2 per cell]
Sn 0.273 0.000 0.545 [2 per cell]
I 0.000 0.500 0.499 [2 per cell]
I 0.092 0.000 0.256 [2 per cell]
I 0.242 0.159 0.783 [4 per cell]
I 0.258 0.341 0.220 [4 per cell]
I 0.404 0.500 0.750 [2 per cell]

Principal peaks in the range 2θ from 10° to 90°, in order of rising 2θ:
h k l, 2θ/deg, I/Imax
1 1 1, 16.45, 39.1
0 2 1, 17.73, 100.0
3 1 -1, 22.52, 50.0
1 3 -1, 22.97, 50.7
3 1 1, 26.31, 35.5
4 0 0, 26.74, 34.7
2 4 -1, 30.26, 45.3
1 3 2, 33.28, 41.8
4 2 1, 34.18, 31.5
4 4 -2, 42.32, 38.1